Calculated powder X-ray diffraction pattern of LiNdMo2O8 for Cu Ka, from a structure optimized by DFT (GGA+U).

Peak list (12 most intense, 5 to 70 degrees two-theta, most intense first)
Position (°2θ)  I (rel.)  index
27.77  100.0  1 1 1
29.76  73.4  1 1 -3
20.23  35.4  1 0 -2
18.80  32.9  1 0 0
16.98  30.5  0 1 1
29.91  29.9  0 1 3
22.66  26.2  0 1 2
29.50  22.0  0 2 0
36.06  18.9  1 2 -2
34.51  17.4  1 2 -1
48.01  17.3  2 0 2
48.43  16.7  0 3 2

Cell and atoms:
a = 5.086 Å, b = 6.056 Å, c = 11.103 Å
α = 90.00°, β = 111.87°, γ = 90.00°
Positions (direct):
Li 0.000 0.216 0.250
Li 0.000 0.784 0.750
Nd 0.500 0.293 0.750
Nd 0.500 0.707 0.250
Mo 0.267 0.179 0.026
Mo 0.267 0.821 0.526
Mo 0.733 0.179 0.474
Mo 0.733 0.821 0.974
O 0.133 0.107 0.594
O 0.133 0.893 0.094
O 0.218 0.362 0.142
O 0.218 0.638 0.642
O 0.299 0.365 0.906
O 0.299 0.635 0.406
O 0.369 0.075 0.382
O 0.369 0.925 0.882
O 0.631 0.075 0.118
O 0.631 0.925 0.618
O 0.701 0.365 0.594
O 0.701 0.635 0.094
O 0.782 0.362 0.358
O 0.782 0.638 0.858
O 0.867 0.107 0.906
O 0.867 0.893 0.406